Entry 1:
# K2GaSb
Calculated PXRD pattern, copper Kα. Input: a GGA-PBE-relaxed structure.
No peak broadening, texture or thermal motion is included.

```
data_K2GaSb
_chemical_formula_sum 'K8 Ga4 Sb4'
_cell_length_a 8.191
_cell_length_b 8.191
_cell_length_c 8.191
_cell_angle_alpha 90.00
_cell_angle_beta 90.00
_cell_angle_gamma 90.00
_symmetry_space_group_name_H-M 'F m -3 m'
_symmetry_Int_Tables_number 225
_symmetry_space_group_name_Hall '-F 4 2 3'
loop_
_atom_site_label
_atom_site_fract_x
_atom_site_fract_y
_atom_site_fract_z
K1 0.250 0.250 0.250
Ga1 0.000 0.000 0.000
Sb1 0.000 0.000 0.500
```

Main lines, low angle first (2θ from 5° to 70°):
| 2θ (°) | I (rel.) |
| --- | --- |
| 18.76 | 7 |
| 21.70 | 19 |
| 30.88 | 100 |
| 36.38 | 4 |
| 38.06 | 6 |
| 44.23 | 18 |
| 49.79 | 9 |
| 54.92 | 36 |
| 64.34 | 11 |
| 68.77 | 5 |

=====

Entry 2:
# Li6Tl2Cd3
Calculated PXRD pattern, copper Kα. Input: a GGA-PBE-relaxed structure.
No peak broadening, texture or thermal motion is included.

```
data_Li6Tl2Cd3
_chemical_formula_sum 'Li6 Tl2 Cd3'
_cell_length_a 7.359
_cell_length_b 3.051
_cell_length_c 9.703
_cell_angle_alpha 90.00
_cell_angle_beta 93.83
_cell_angle_gamma 90.00
_symmetry_space_group_name_H-M 'P 1 2/m 1'
_symmetry_Int_Tables_number 10
loop_
_symmetry_equiv_pos_as_xyz
'x,y,z'
'-x,-y,-z'
'-x,y,-z'
'x,-y,z'
loop_
_atom_site_label
_atom_site_fract_x
_atom_site_fract_y
_atom_site_fract_z
Li1 0.055 0.000 0.136
Li2 0.189 0.000 0.663
Li3 0.428 0.000 0.200
Tl1 0.289 0.500 0.941
Cd1 0.155 0.500 0.387
Cd2 0.500 0.000 0.500
```

Main lines, low angle first (2θ from 5° to 70°):
| 2θ (°) | I (rel.) |
| --- | --- |
| 18.33 | 72 |
| 21.30 | 99 |
| 26.53 | 52 |
| 29.27 | 29 |
| 36.48 | 23 |
| 37.31 | 69 |
| 38.36 | 100 |
| 42.06 | 29 |
| 48.97 | 22 |
| 60.14 | 29 |

=====

Entry 3:
# Fe3AuBr9
Calculated PXRD pattern, copper Kα. Input: a GGA-PBE-relaxed structure.
No peak broadening, texture or thermal motion is included.

```
data_Fe3AuBr9
_chemical_formula_sum 'Fe12 Au4 Br36'
_cell_length_a 19.449
_cell_length_b 9.774
_cell_length_c 14.604
_cell_angle_alpha 90.00
_cell_angle_beta 131.56
_cell_angle_gamma 90.00
_symmetry_space_group_name_H-M 'C 1 c 1'
_symmetry_Int_Tables_number 9
loop_
_symmetry_equiv_pos_as_xyz
'x,y,z'
'x,-y,z+1/2'
'x+1/2,y+1/2,z'
'x+1/2,-y+1/2,z+1/2'
loop_
_atom_site_label
_atom_site_fract_x
_atom_site_fract_y
_atom_site_fract_z
Fe1 0.000 0.065 0.000
Fe2 0.293 0.393 0.658
Fe3 0.384 0.123 0.547
Au1 0.124 0.211 0.683
Br1 0.030 0.369 0.236
Br2 0.063 0.006 0.703
Br3 0.103 0.177 0.999
Br4 0.168 0.430 0.655
Br5 0.265 0.173 0.559
Br6 0.299 0.428 0.063
Br7 0.343 0.086 0.950
Br8 0.361 0.298 0.406
Br9 0.440 0.359 0.867
```

Main lines, low angle first (2θ from 5° to 70°):
| 2θ (°) | I (rel.) |
| --- | --- |
| 10.91 | 52 |
| 12.20 | 28 |
| 15.83 | 44 |
| 16.22 | 21 |
| 16.91 | 53 |
| 22.76 | 25 |
| 24.98 | 62 |
| 26.13 | 100 |
| 30.40 | 42 |
| 48.84 | 23 |

=====

Entry 4:
# Ce6Eu
Calculated PXRD pattern, copper Kα. Input: a GGA-PBE-relaxed structure.
No peak broadening, texture or thermal motion is included.

```
data_Ce6Eu
_chemical_formula_sum 'Ce12 Eu2'
_cell_length_a 7.689
_cell_length_b 7.689
_cell_length_c 7.689
_cell_angle_alpha 90.00
_cell_angle_beta 90.00
_cell_angle_gamma 90.00
_symmetry_space_group_name_H-M 'I m -3 m'
_symmetry_Int_Tables_number 229
_symmetry_space_group_name_Hall '-I 4 2 3'
loop_
_atom_site_label
_atom_site_fract_x
_atom_site_fract_y
_atom_site_fract_z
Ce1 0.000 0.250 0.500
Eu1 0.000 0.000 0.000
```

Main lines, low angle first (2θ from 5° to 70°):
| 2θ (°) | I (rel.) |
| --- | --- |
| 16.30 | 17 |
| 23.13 | 42 |
| 28.43 | 100 |
| 40.64 | 32 |
| 44.06 | 61 |
| 47.28 | 32 |
| 53.28 | 17 |
| 56.10 | 15 |
| 66.61 | 18 |
| 69.10 | 21 |

=====

Entry 5:
# CdRhCl2
Calculated PXRD pattern, copper Kα. Input: a GGA-PBE-relaxed structure.
No peak broadening, texture or thermal motion is included.

```
data_CdRhCl2
_chemical_formula_sum 'Cd1 Rh1 Cl2'
_cell_length_a 4.019
_cell_length_b 3.417
_cell_length_c 7.155
_cell_angle_alpha 90.00
_cell_angle_beta 103.71
_cell_angle_gamma 90.00
_symmetry_space_group_name_H-M 'P 1 m 1'
_symmetry_Int_Tables_number 6
loop_
_symmetry_equiv_pos_as_xyz
'x,y,z'
'x,-y,z'
loop_
_atom_site_label
_atom_site_fract_x
_atom_site_fract_y
_atom_site_fract_z
Cd1 0.000 0.000 0.000
Rh1 0.558 0.500 0.125
Cl1 0.345 0.500 0.781
Cl2 0.672 0.000 0.370
```

Main lines, low angle first (2θ from 5° to 70°):
| 2θ (°) | I (rel.) |
| --- | --- |
| 12.73 | 100 |
| 28.76 | 9 |
| 34.89 | 25 |
| 35.27 | 28 |
| 36.89 | 17 |
| 38.55 | 7 |
| 39.21 | 13 |
| 40.25 | 19 |
| 45.17 | 10 |
| 47.40 | 13 |